# 1
Calculated powder diffractogram of La4Ge2Cl for copper Kα, from the GGA-PBE geometry in Alexandria.
Intensities are scaled so that the largest is 100.

Lattice parameters (Å, degrees): 8.0353 8.0353 8.0353 111.11 111.11 106.24
Sites, in units of the cell vectors:
La1 0.0091 0.7406 0.1112
La2 0.1021 0.9909 0.7315
La3 0.1207 0.5094 0.7685
La4 0.2594 0.3707 0.2685
La5 0.4906 0.2591 0.6112
La6 0.6293 0.8979 0.8888
La7 0.6479 0.8793 0.3888
La8 0.7409 0.3521 0.2315
Ge1 0.3750 0.0005 0.1255
Ge2 0.7505 0.6250 0.6255
Ge3 0.8750 0.2495 0.8745
Ge4 0.9995 0.1250 0.3745
Cl1 0.2500 0.7500 0.5000
Cl2 0.5000 0.5000 0.0000

The 12 most intense peaks (15° ≤ 2θ ≤ 90°), sorted by position:
| d/Å | Position (°2θ) | Rel. int. |
| --- | --- | --- |
| 3.307 | 26.96 | 31 |
| 3.031 | 29.47 | 77 |
| 2.891 | 30.94 | 60 |
| 2.874 | 31.11 | 100 |
| 2.522 | 35.60 | 56 |
| 2.469 | 36.39 | 39 |
| 2.439 | 36.85 | 41 |
| 1.984 | 45.74 | 25 |
| 1.873 | 48.61 | 22 |
| 1.847 | 49.33 | 24 |
| 1.818 | 50.18 | 23 |
| 1.787 | 51.13 | 33 |

# 2
Calculated powder diffractogram of Nb4CrRu5 for copper Kα, from the GGA-PBE geometry in Alexandria.
Intensities are scaled so that the largest is 100.

Lattice parameters (Å, degrees): 7.2017 7.2017 5.4435 97.39 97.39 33.96
Sites, in units of the cell vectors:
Nb1 0.1037 0.1037 0.3709
Nb2 0.2921 0.2921 0.8686
Nb3 0.7079 0.7079 0.1314
Nb4 0.8963 0.8963 0.6291
Cr1 0.5000 0.5000 0.0000
Ru1 0.0832 0.0832 0.8528
Ru2 0.3034 0.3034 0.3704
Ru3 0.5000 0.5000 0.5000
Ru4 0.6966 0.6966 0.6296
Ru5 0.9168 0.9168 0.1472

The 12 most intense peaks (15° ≤ 2θ ≤ 90°), sorted by position:
| d/Å | Position (°2θ) | Rel. int. |
| --- | --- | --- |
| 2.290 | 39.35 | 100 |
| 2.282 | 39.49 | 75 |
| 2.270 | 39.71 | 12 |
| 2.200 | 41.03 | 16 |
| 2.103 | 43.01 | 42 |
| 1.990 | 45.59 | 26 |
| 1.867 | 48.77 | 17 |
| 1.445 | 64.47 | 18 |
| 1.396 | 67.03 | 12 |
| 1.247 | 76.40 | 24 |
| 1.200 | 79.96 | 9 |
| 1.145 | 84.65 | 13 |